(1)
Diffraction record for CeMnSi. The X-ray diffraction stick pattern is theoretical, not measured: it uses a GGA-PBE-relaxed structure and Cu Kα (λ = 1.5418 Å).
Kinematic intensities with the Lorentz-polarization factor, no thermal factor.

Cell and atoms:
```
data_CeMnSi
_chemical_formula_sum 'Ce2 Mn2 Si2'
_space_group_name_H-M_alt 'P 4/n m m'
_space_group_IT_number 129
_cell_length_a 4.112
_cell_length_b 4.112
_cell_length_c 6.598
_cell_angle_alpha 90.00
_cell_angle_beta 90.00
_cell_angle_gamma 90.00
loop_
_space_group_symop_operation_xyz
'x,y,z'
'-x,-y,-z'
'-y+1/2,x,z'
'y+1/2,-x,-z'
'-x+1/2,-y+1/2,z'
'x+1/2,y+1/2,-z'
'y,-x+1/2,z'
'-y,x+1/2,-z'
'x+1/2,-y,-z'
'-x+1/2,y,z'
'-y,-x,-z'
'y,x,z'
'-x,y+1/2,-z'
'x,-y+1/2,z'
'y+1/2,x+1/2,-z'
'-y+1/2,-x+1/2,z'
loop_
_atom_site_label
_atom_site_type_symbol
_atom_site_fract_x
_atom_site_fract_y
_atom_site_fract_z
_atom_site_occupancy
Ce1 Ce 0.250 0.250 0.190 1
Mn1 Mn 0.250 0.750 0.500 1
Si1 Si 0.250 0.250 0.685 1
```

Principal peaks in the range 15 to 90 degrees two-theta, in order of rising 2θ:
d [Å]	2θ (°)	I/Imax	index
3.490	25.53	100	1 0 1
2.907	30.75	37	1 1 0
2.661	33.69	44	1 1 1
2.573	34.87	58	1 0 2
2.181	41.39	82	1 1 2
2.056	44.05	55	2 0 0
1.771	51.60	30	2 1 1
1.606	57.37	27	2 1 2

(2)
Diffraction record for CeMo6S8. The X-ray diffraction stick pattern is theoretical, not measured: it uses a GGA-PBE-relaxed structure and Cu Kα (λ = 1.5418 Å).
Kinematic intensities with the Lorentz-polarization factor, no thermal factor.

Cell and atoms:
```
data_CeMo6S8
_chemical_formula_sum 'Ce3 Mo18 S24'
_space_group_name_H-M_alt 'R -3'
_space_group_IT_number 148
_space_group_name_Hall '-R 3'
_cell_length_a 9.1502
_cell_length_b 9.1502
_cell_length_c 11.5458
_cell_angle_alpha 90.00
_cell_angle_beta 90.00
_cell_angle_gamma 120.00
loop_
_atom_site_label
_atom_site_type_symbol
_atom_site_fract_x
_atom_site_fract_y
_atom_site_fract_z
_atom_site_occupancy
Ce1 Ce 0.0000 0.0000 0.0000 1
Mo1 Mo 0.0170 0.1775 0.4027 1
S1 S 0.0000 0.0000 0.2427 1
S2 S 0.9997 0.3753 0.2497 1
```

Principal peaks in the range 15 to 90 degrees two-theta, in order of rising 2θ:
d [Å]	2θ (°)	I/Imax	index
4.666	19.02	69	0 1 2
4.575	19.40	52	1 1 0
2.899	30.84	78	3 -1 1
2.659	33.71	72	3 -2 2
2.217	40.70	58	0 1 5
2.159	41.84	83	4 -3 1
2.078	43.55	68	2 1 4
1.966	46.16	100	4 -2 3

(3)
Diffraction record for CeMo6Se8. The X-ray diffraction stick pattern is theoretical, not measured: it uses a GGA-PBE-relaxed structure and Cu Kα (λ = 1.5418 Å).
Kinematic intensities with the Lorentz-polarization factor, no thermal factor.

Cell and atoms:
```
data_CeMo6Se8
_chemical_formula_sum 'Ce3 Mo18 Se24'
_space_group_name_H-M_alt 'R -3'
_space_group_IT_number 148
_space_group_name_Hall '-R 3'
_cell_length_a 9.5240
_cell_length_b 9.5240
_cell_length_c 11.9964
_cell_angle_alpha 90.00
_cell_angle_beta 90.00
_cell_angle_gamma 120.00
loop_
_atom_site_label
_atom_site_type_symbol
_atom_site_fract_x
_atom_site_fract_y
_atom_site_fract_z
_atom_site_occupancy
Ce1 Ce 0.0000 0.0000 0.0000 1
Mo1 Mo 0.0168 0.1707 0.4063 1
Se1 Se 0.0000 0.0000 0.2395 1
Se2 Se 0.0054 0.6291 0.7503 1
```

Principal peaks in the range 15 to 90 degrees two-theta, in order of rising 2θ:
d [Å]	2θ (°)	I/Imax	index
3.062	29.16	36	1 1 3
2.766	32.36	46	3 -2 2
2.749	32.57	44	3 0 0
2.304	39.10	37	0 1 5
2.247	40.13	71	4 -3 1
2.161	41.79	51	2 1 4
2.046	44.28	100	4 -2 3
1.600	57.60	36	3 2 4

(4)
Diffraction record for CeS2NO8. The X-ray diffraction stick pattern is theoretical, not measured: it uses a GGA-PBE-relaxed structure and Cu Kα (λ = 1.5418 Å).
Kinematic intensities with the Lorentz-polarization factor, no thermal factor.

Cell and atoms:
```
data_CeS2NO8
_chemical_formula_sum 'Ce2 S4 N2 O16'
_space_group_name_H-M_alt 'P 1 21/m 1'
_space_group_IT_number 11
_space_group_name_Hall '-P 2yb'
_cell_length_a 7.016
_cell_length_b 5.348
_cell_length_c 9.128
_cell_angle_alpha 90.00
_cell_angle_beta 99.66
_cell_angle_gamma 90.00
loop_
_atom_site_label
_atom_site_type_symbol
_atom_site_fract_x
_atom_site_fract_y
_atom_site_fract_z
_atom_site_occupancy
Ce1 Ce 0.196 0.250 0.272 1
S1 S 0.188 0.750 0.076 1
S2 S 0.275 0.750 0.565 1
N1 N 0.317 0.250 0.807 1
O1 O 0.062 0.750 0.928 1
O2 O 0.076 0.750 0.202 1
O3 O 0.096 0.750 0.631 1
O4 O 0.277 0.522 0.470 1
O5 O 0.308 0.519 0.092 1
O6 O 0.448 0.750 0.681 1
```

Principal peaks in the range 15 to 90 degrees two-theta, in order of rising 2θ:
d [Å]	2θ (°)	I/Imax	index
5.087	17.43	43	1 0 1
4.598	19.31	100	0 1 1
3.458	25.76	48	2 0 0
3.443	25.88	44	0 1 2
3.253	27.41	61	1 1 -2
2.936	30.45	63	1 1 2
2.674	33.51	32	0 2 0
2.614	34.30	39	2 1 -2

(5)
Diffraction record for Ce3S3N. The X-ray diffraction stick pattern is theoretical, not measured: it uses a GGA-PBE-relaxed structure and Cu Kα (λ = 1.5418 Å).
Kinematic intensities with the Lorentz-polarization factor, no thermal factor.

Cell and atoms:
```
data_Ce3S3N
_chemical_formula_sum 'Ce12 S12 N4'
_space_group_name_H-M_alt 'P n m a'
_space_group_IT_number 62
_space_group_name_Hall '-P 2ac 2n'
_cell_length_a 11.918
_cell_length_b 3.999
_cell_length_c 12.824
_cell_angle_alpha 90.00
_cell_angle_beta 90.00
_cell_angle_gamma 90.00
loop_
_atom_site_label
_atom_site_type_symbol
_atom_site_fract_x
_atom_site_fract_y
_atom_site_fract_z
_atom_site_occupancy
Ce1 Ce 0.036 0.250 0.152 1
Ce2 Ce 0.093 0.250 0.622 1
Ce3 Ce 0.234 0.250 0.869 1
S1 S 0.076 0.250 0.391 1
S2 S 0.143 0.750 0.004 1
S3 S 0.233 0.750 0.706 1
N1 N 0.052 0.250 0.799 1
```

Principal peaks in the range 15 to 90 degrees two-theta, in order of rising 2θ:
d [Å]	2θ (°)	I/Imax	index
3.377	26.39	98	3 0 2
3.320	26.85	49	2 1 0
3.263	27.33	73	1 1 2
3.209	27.80	100	0 0 4
2.753	32.53	44	3 1 1
2.306	39.05	54	2 1 4
1.999	45.36	36	0 2 0
1.720	53.24	30	3 2 2

(6)
Diffraction record for Ce3Se3N. The X-ray diffraction stick pattern is theoretical, not measured: it uses a GGA-PBE-relaxed structure and Cu Kα (λ = 1.5418 Å).
Kinematic intensities with the Lorentz-polarization factor, no thermal factor.

Cell and atoms:
```
data_Ce3Se3N
_chemical_formula_sum 'Ce12 Se12 N4'
_space_group_name_H-M_alt 'P n m a'
_space_group_IT_number 62
_space_group_name_Hall '-P 2ac 2n'
_cell_length_a 12.690
_cell_length_b 4.102
_cell_length_c 13.245
_cell_angle_alpha 90.00
_cell_angle_beta 90.00
_cell_angle_gamma 90.00
loop_
_atom_site_label
_atom_site_type_symbol
_atom_site_fract_x
_atom_site_fract_y
_atom_site_fract_z
_atom_site_occupancy
Ce1 Ce 0.034 0.250 0.155 1
Ce2 Ce 0.080 0.250 0.628 1
Ce3 Ce 0.221 0.250 0.866 1
Se1 Se 0.087 0.250 0.392 1
Se2 Se 0.134 0.750 0.004 1
Se3 Se 0.231 0.750 0.697 1
N1 N 0.051 0.250 0.796 1
```

Principal peaks in the range 15 to 90 degrees two-theta, in order of rising 2θ:
d [Å]	2θ (°)	I/Imax	index
3.565	24.98	50	3 0 2
3.445	25.86	46	2 1 0
3.311	26.93	58	0 0 4
2.924	30.57	58	1 1 3
2.875	31.11	92	3 1 1
2.691	33.30	49	3 1 2
2.387	37.68	100	2 1 4
2.051	44.15	64	0 2 0